Theoretical PXRD pattern of TcSO6F for λ = 1.5418 Å (Cu Kα), from DFT lattice parameters and positions (PBE).
Peak positions follow from Bragg's law for the DFT cell and can differ from measured ones.

Main lines, by angle (2θ from 10° to 90°):
d_spacing, Position (°2θ), intensity, index
7.345, 12.05, 57, 1 0 0
6.310, 14.04, 76, 0 1 1
5.587, 15.86, 100, 1 1 0
4.641, 19.12, 60, 1 1 1
4.303, 20.64, 41, 0 2 0
4.100, 21.68, 89, 1 0 -2
3.903, 22.78, 58, 0 2 1
3.765, 23.63, 99, 1 0 2
3.705, 24.02, 73, 1 1 -2
2.851, 31.37, 47, 2 1 -2

Structure:
Lattice parameters (Å, degrees): 7.3783 8.6052 9.3209 90.00 95.43 90.00
Space group P2_1/c (No. 14)
Symmetry-distinct sites (fractional):
Tc: 0.2503 0.1508 0.1522 [4 per cell]
S: 0.4200 0.7150 0.5875 [4 per cell]
O: 0.0924 0.0979 0.2649 [4 per cell]
O: 0.1618 0.0921 0.9847 [4 per cell]
O: 0.2420 0.1514 0.6461 [4 per cell]
O: 0.3810 0.5886 0.6844 [4 per cell]
O: 0.4621 0.1655 0.3427 [4 per cell]
O: 0.4665 0.6684 0.4456 [4 per cell]
F: 0.2327 0.6990 0.0538 [4 per cell]